For RbV4Ni3O12, a cell relaxed with GGA+U gives the theoretical XRD peak list in this record (λ = 1.5418 Å (Cu Kα)).

Top 8 peaks for 10 to 90 degrees two-theta, in order of falling intensity:
| two_theta | I/Imax | (hkl) |
| --- | --- | --- |
| 32.4 | 1000 | 2 0 2 |
| 58.5 | 578 | 0 2 4 |
| 27.4 | 557 | 2 1 1 |
| 31.4 | 528 | 2 2 0 |
| 35.5 | 304 | 1 3 1 |
| 27.1 | 296 | 3 0 0 |
| 54.0 | 254 | 5 0 2 |
| 72.9 | 180 | 0 7 2 |

Cell and atoms:
abc: 11.3873 11.3873 6.6612
angles: 90.00 90.00 120.00
Space group R32 (No. 155, hexagonal axes)
Inequivalent atoms, fractional coordinates:
Rb (0.0000, 0.0000, 0.0000)
V (0.0000, 0.0000, 0.5000)
V (0.0000, 0.4339, 0.5000)
Ni (0.0000, 0.5667, 0.0000)
O (0.0000, 0.5881, 0.5000)
O (0.0000, 0.8472, 0.5000)
O (0.0662, 0.4729, 0.8119)